(1)
# Ta4Ag2O11
Simulated powder diffractogram, copper Kα. Input: a DFT-relaxed cell (PBE, the Materials Project).
Neutral-atom scattering factors, no anomalous dispersion.

Top 8 peaks for 2θ = 15–90°, most intense first:
Position (°2θ)  I/Imax
31.95  100
29.36  63
28.67  48
59.00  34
50.39  32
52.89  27
35.88  22
46.56  17

Structure:
a b c (Å): 12.9714 12.9714 12.9714
angles (deg): 27.99 27.99 27.99
Sites, in units of the cell vectors:
Ta: 0.0000 0.0000 0.0000
Ta: 0.1138 0.7500 0.3862
Ta: 0.2500 0.6138 0.8862
Ta: 0.3862 0.1138 0.7500
Ta: 0.5000 0.5000 0.5000
Ta: 0.6138 0.8862 0.2500
Ta: 0.7500 0.3862 0.1138
Ta: 0.8862 0.2500 0.6138
Ag: 0.1714 0.1714 0.1714
Ag: 0.3286 0.3286 0.3286
Ag: 0.6714 0.6714 0.6714
Ag: 0.8286 0.8286 0.8286
O: 0.0004 0.4996 0.2500
O: 0.9996 0.5004 0.7500
O: 0.0635 0.7554 0.2741
O: 0.0933 0.0933 0.0933
O: 0.2259 0.7446 0.4365
O: 0.2446 0.7259 0.9365
O: 0.2500 0.0004 0.4996
O: 0.2554 0.5635 0.7741
O: 0.2741 0.0635 0.7554
O: 0.4067 0.4067 0.4067
O: 0.4365 0.2259 0.7446
O: 0.4996 0.2500 0.0004
O: 0.5004 0.7500 0.9996
O: 0.5635 0.7741 0.2554
O: 0.5933 0.5933 0.5933
O: 0.7259 0.9365 0.2446
O: 0.7446 0.4365 0.2259
O: 0.7500 0.9996 0.5004
O: 0.7554 0.2741 0.0635
O: 0.7741 0.2554 0.5635
O: 0.9067 0.9067 0.9067
O: 0.9365 0.2446 0.7259


(2)
# PrVSb3
Simulated powder diffractogram, copper Kα. Input: a DFT-relaxed cell (PBE, the Materials Project).
Neutral-atom scattering factors, no anomalous dispersion.

Top 8 peaks for 2θ = 15–90°, most intense first:
Position (°2θ)  I/Imax
33.85  100
31.46  65
41.25  59
32.32  40
54.95  25
28.66  24
35.76  22
68.61  22

Structure:
a b c (Å): 13.3021 6.2924 6.0931
angles (deg): 90.00 90.00 90.00
Sites, in units of the cell vectors:
Pr: 0.1910 0.0025 0.2500
Pr: 0.1910 0.4975 0.7500
Pr: 0.8090 0.5025 0.2500
Pr: 0.8090 0.9975 0.7500
V: 0.4063 0.7500 0.0000
V: 0.4063 0.7500 0.5000
V: 0.5937 0.2500 0.0000
V: 0.5937 0.2500 0.5000
Sb: 0.0012 0.7500 0.0000
Sb: 0.0012 0.7500 0.5000
Sb: 0.2818 0.0018 0.7500
Sb: 0.2818 0.4982 0.2500
Sb: 0.4357 0.1047 0.2500
Sb: 0.4357 0.3953 0.7500
Sb: 0.5643 0.6047 0.2500
Sb: 0.5643 0.8953 0.7500
Sb: 0.7182 0.5018 0.7500
Sb: 0.7182 0.9982 0.2500
Sb: 0.9988 0.2500 0.0000
Sb: 0.9988 0.2500 0.5000


(3)
# MnVCo4Si2
Simulated powder diffractogram, copper Kα. Input: a DFT-relaxed cell (PBE, the Materials Project).
Neutral-atom scattering factors, no anomalous dispersion.

Top 8 peaks for 2θ = 15–90°, most intense first:
Position (°2θ)  I/Imax
45.39  100
83.87  29
66.14  15
31.66  6
27.33  4
75.18  2
53.80  2
56.40  1

Structure:
a b c (Å): 6.9188 6.9188 6.9188
angles (deg): 33.58 33.58 33.58
Sites, in units of the cell vectors:
Mn: 0.0000 0.0000 0.0000
V: 0.5000 0.5000 0.5000
Co: 0.1249 0.1249 0.1249
Co: 0.3752 0.3752 0.3752
Co: 0.6248 0.6248 0.6248
Co: 0.8751 0.8751 0.8751
Si: 0.2502 0.2502 0.2502
Si: 0.7498 0.7498 0.7498


(4)
# CeGa2Cu3
Simulated powder diffractogram, copper Kα. Input: a DFT-relaxed cell (PBE, the Materials Project).
Neutral-atom scattering factors, no anomalous dispersion.

Top 8 peaks for 2θ = 15–90°, most intense first:
Position (°2θ)  I/Imax
41.02  100
40.30  55
43.14  44
28.97  40
39.65  39
34.71  29
29.29  24
65.49  23

Structure:
a b c (Å): 5.1704 5.1704 4.1938
angles (deg): 90.00 90.00 118.44
Sites, in units of the cell vectors:
Ce: 0.0000 0.0000 0.0000
Ga: 0.0000 0.5000 0.5000
Ga: 0.5000 0.0000 0.5000
Cu: 0.3362 0.6638 0.0000
Cu: 0.5000 0.5000 0.5000
Cu: 0.6638 0.3362 0.0000


(5)
# ZrPbO5
Simulated powder diffractogram, copper Kα. Input: a DFT-relaxed cell (PBE, the Materials Project).
Neutral-atom scattering factors, no anomalous dispersion.

Top 8 peaks for 2θ = 15–90°, most intense first:
Position (°2θ)  I/Imax
27.31  100
25.44  93
23.26  55
31.89  44
24.16  35
33.35  35
23.76  34
33.50  33

Structure:
a b c (Å): 6.6452 7.8666 7.9588
angles (deg): 92.22 93.85 103.18
Sites, in units of the cell vectors:
Zr: 0.0000 0.0000 0.0000
Zr: 0.0033 0.9754 0.4763
Zr: 0.0581 0.5080 0.9971
Zr: 0.9501 0.4606 0.4750
Pb: 0.3424 0.8449 0.7484
Pb: 0.3771 0.3152 0.2662
Pb: 0.4802 0.8443 0.2214
Pb: 0.5492 0.5005 0.7078
O: 0.0866 0.7233 0.5490
O: 0.0956 0.0659 0.2471
O: 0.1048 0.2671 0.9945
O: 0.1111 0.9956 0.7500
O: 0.1991 0.8124 0.0161
O: 0.2266 0.3550 0.4961
O: 0.2847 0.5594 0.8028
O: 0.3078 0.8992 0.4525
O: 0.3679 0.5588 0.1545
O: 0.5177 0.1792 0.7651
O: 0.5515 0.1274 0.2450
O: 0.6289 0.7937 0.7004
O: 0.6319 0.4478 0.4591
O: 0.6527 0.2039 0.9056
O: 0.6679 0.3622 0.9853
O: 0.7090 0.8781 0.0276
O: 0.7366 0.8262 0.3876
O: 0.8799 0.5221 0.7590
O: 0.9035 0.1989 0.5334
O: 0.9623 0.5132 0.2342


(6)
# K3BiPCO7
Simulated powder diffractogram, copper Kα. Input: a DFT-relaxed cell (PBE, the Materials Project).
Neutral-atom scattering factors, no anomalous dispersion.

Top 8 peaks for 2θ = 15–90°, most intense first:
Position (°2θ)  I/Imax
29.66  100
16.44  42
19.14  38
24.53  38
21.14  32
30.37  26
21.78  25
25.93  24

Structure:
a b c (Å): 6.0456 7.2570 10.3414
angles (deg): 90.00 94.56 90.00
Sites, in units of the cell vectors:
K: 0.2226 0.9995 0.2317
K: 0.2226 0.5005 0.2317
K: 0.2405 0.2500 0.5768
K: 0.7595 0.7500 0.4232
K: 0.7774 0.0005 0.7683
K: 0.7774 0.4995 0.7683
Bi: 0.2775 0.7500 0.8564
Bi: 0.7225 0.2500 0.1436
P: 0.3206 0.2500 0.9035
P: 0.6794 0.7500 0.0965
C: 0.2734 0.7500 0.5568
C: 0.7266 0.2500 0.4432
O: 0.1048 0.7500 0.6317
O: 0.2264 0.2500 0.0363
O: 0.2324 0.7500 0.4323
O: 0.2439 0.0782 0.8184
O: 0.2439 0.4218 0.8184
O: 0.4170 0.7500 0.0807
O: 0.4752 0.7500 0.6106
O: 0.5248 0.2500 0.3894
O: 0.5830 0.2500 0.9193
O: 0.7561 0.5782 0.1816
O: 0.7561 0.9218 0.1816
O: 0.7676 0.2500 0.5677
O: 0.7736 0.7500 0.9637
O: 0.8952 0.2500 0.3683